The following is a theoretical powder diffractogram of NdGa2WO8. It was derived from a structure optimized by DFT (GGA+U), using copper Kα.
Intensities are scaled so that the largest is 100.

Cell and atoms:
```
12
Lattice="3.2950 -3.3500 0.0000 3.2950 3.3500 0.0000 0.0000 0.0000 6.6508" Properties=species:S:1:pos:R:3 pbc="T T T"
Nd 0.0000 0.0000 0.0000
Ga 3.2950 0.0000 1.7853
Ga 3.2950 0.0000 4.8656
W 0.0000 0.0000 3.3254
O 1.3377 0.0000 1.9287
O 1.3377 0.0000 4.7222
O 3.2950 1.3643 3.3254
O 3.2950 1.0861 0.0000
O 3.2950 -1.0861 0.0000
O 3.2950 -1.3643 3.3254
O 5.2524 0.0000 1.9287
O 5.2524 0.0000 4.7222
```

Principal peaks in the range 2θ from 5° to 70°, by angle:
2theta, d [Å], I_rel
18.89, 4.698, 31.3
26.61, 3.350, 60.3
27.06, 3.295, 54.7
33.00, 2.714, 100.0
38.32, 2.349, 26.4
38.46, 2.341, 15.9
51.18, 1.785, 41.1
51.71, 1.768, 36.7
65.93, 1.417, 22.4
69.23, 1.357, 10.5

The following is a theoretical powder diffractogram of Mn2HSeO. It was derived from a structure optimized by DFT (GGA+U), using copper Kα.
Intensities are scaled so that the largest is 100.

Cell and atoms:
```
10
Lattice="6.5004 0.0000 0.0000 0.0000 3.5468 0.0000 -2.0573 0.0000 6.5842" Properties=species:S:1:pos:R:3 pbc="T T T"
Mn 0.0000 0.0000 0.0000
Mn -1.2141 1.7734 4.1295
Mn 3.2502 1.7734 0.0000
Mn 2.0361 0.0000 4.1295
H 1.2592 1.7734 4.6635
H 4.5094 0.0000 4.6635
Se -0.0607 0.0000 2.6494
Se 3.1895 1.7734 2.6494
O -0.9130 1.7734 6.2222
O 2.3372 0.0000 6.2222
```

Principal peaks in the range 2θ from 5° to 70°, by angle:
2theta, d [Å], I_rel
27.09, 3.292, 27.7
28.78, 3.102, 56.9
29.00, 3.079, 18.0
30.17, 2.963, 100.0
36.90, 2.436, 33.1
42.79, 2.113, 21.7
43.09, 2.099, 36.1
47.16, 1.927, 21.8
49.29, 1.849, 42.2
51.53, 1.773, 21.1